[1]
Structure and theoretical X-ray diffraction stick pattern of HoErS (a cell relaxed with PBE; Cu Ka).

Main lines, sorted by position (2θ from 15° to 90°):
2θ (°)	intensity
27.49	14
28.64	21
31.07	100
40.11	25
48.60	23
52.28	21
58.81	16
79.68	14

Cell and atoms:
a = 14.050 Å, b = 3.745 Å, c = 6.492 Å
α = 90.00°, β = 117.45°, γ = 90.00°
Space group C2/m (No. 12)
Symmetry-distinct sites (fractional):
1 Ho 0.117 0.000 0.450
2 Er 0.117 0.500 0.951
3 S 0.250 0.000 0.249

[2]
Structure and theoretical X-ray diffraction stick pattern of HoEr4S6 (a cell relaxed with PBE; Cu Ka).

Main lines, sorted by position (2θ from 15° to 90°):
2θ (°)	intensity
26.15	30
26.66	100
28.07	79
31.99	27
32.97	74
34.56	54
44.52	36
55.74	27

Cell and atoms:
a = 3.791 Å, b = 12.727 Å, c = 19.654 Å
α = 90.00°, β = 90.00°, γ = 90.00°
Space group Cmcm (No. 63)
Symmetry-distinct sites (fractional):
1 Ho 0.000 0.151 0.250
2 Er 0.000 0.091 0.628
3 Er 0.000 0.361 0.540
4 S 0.000 0.000 0.000
5 S 0.000 0.193 0.750
6 S 0.000 0.269 0.089
7 S 0.000 0.450 0.667

[3]
Structure and theoretical X-ray diffraction stick pattern of HoEr3S4 (a cell relaxed with PBE; Cu Ka).

Main lines, sorted by position (2θ from 15° to 90°):
2θ (°)	intensity
28.10	43
28.41	42
32.74	100
46.97	48
55.47	14
56.02	13
58.09	13
78.12	21

Cell and atoms:
a = 7.798 Å, b = 10.947 Å, c = 3.836 Å
α = 90.00°, β = 90.00°, γ = 90.00°
Space group Cmmm (No. 65)
Symmetry-distinct sites (fractional):
1 Ho 0.000 0.000 0.000
2 Er 0.000 0.500 0.000
3 Er 0.250 0.250 0.500
4 S 0.000 0.251 0.000
5 S 0.249 0.500 0.500

[4]
Structure and theoretical X-ray diffraction stick pattern of HoEr3S3 (a cell relaxed with PBE; Cu Ka).

Main lines, sorted by position (2θ from 15° to 90°):
2θ (°)	intensity
28.54	100
33.02	64
33.17	32
47.40	23
47.50	46
56.26	31
59.07	24
78.96	20

Cell and atoms:
a = 10.850 Å, b = 10.850 Å, c = 5.402 Å
α = 90.00°, β = 90.00°, γ = 90.00°
Space group P4_2/mnm (No. 136)
Symmetry-distinct sites (fractional):
1 Ho 0.121 0.121 0.000
2 Er 0.121 0.627 0.000
3 Er 0.126 0.874 0.500
4 S 0.126 0.374 0.000
5 S 0.126 0.874 0.000

[5]
Structure and theoretical X-ray diffraction stick pattern of Ho4ErSc3S8 (a cell relaxed with PBE; Cu Ka).

Main lines, sorted by position (2θ from 15° to 90°):
2θ (°)	intensity
27.41	19
28.66	61
33.22	100
47.69	70
56.59	29
59.35	24
79.46	31
88.88	24

Cell and atoms:
a = 7.6309 Å, b = 7.6309 Å, c = 18.6739 Å
α = 90.00°, β = 90.00°, γ = 120.00°
Space group R-3m (No. 166, hexagonal axes)
Symmetry-distinct sites (fractional):
1 Ho 0.0000 0.0000 0.0000
2 Ho 0.0000 0.5000 0.0000
3 Er 0.0000 0.0000 0.5000
4 Sc 0.0000 0.5000 0.5000
5 S 0.0000 0.0000 0.2453
6 S 0.0055 0.5028 0.7534

[6]
Structure and theoretical X-ray diffraction stick pattern of HoEr2ScS6 (a cell relaxed with PBE; Cu Ka).

Main lines, sorted by position (2θ from 15° to 90°):
2θ (°)	intensity
18.02	60
24.79	100
26.37	95
30.27	29
36.50	48
39.94	93
45.59	47
46.53	52

Cell and atoms:
a = 6.7607 Å, b = 6.7607 Å, c = 18.1938 Å
α = 90.00°, β = 90.00°, γ = 120.00°
Space group R3 (No. 146, hexagonal axes)
Symmetry-distinct sites (fractional):
1 Ho 0.0000 0.0000 0.0000
2 Er 0.0000 0.0000 0.2981
3 Er 0.0000 0.0000 0.8008
4 Sc 0.0000 0.0000 0.4964
5 S 0.0332 0.3488 0.5664
6 S 0.0384 0.6697 0.0687

[7]
Structure and theoretical X-ray diffraction stick pattern of Sm4Ho3ErS8 (a cell relaxed with PBE; Cu Ka).

Main lines, sorted by position (2θ from 15° to 90°):
2θ (°)	intensity
27.36	21
27.80	60
32.08	100
45.72	37
46.29	35
54.61	20
57.44	19
75.90	16

Cell and atoms:
a = 7.8448 Å, b = 7.8448 Å, c = 19.5615 Å
α = 90.00°, β = 90.00°, γ = 120.00°
Space group R-3m (No. 166, hexagonal axes)
Symmetry-distinct sites (fractional):
1 Sm 0.0000 0.0000 0.0000
2 Sm 0.0000 0.5000 0.0000
3 Ho 0.0000 0.5000 0.5000
4 Er 0.0000 0.0000 0.5000
5 S 0.0000 0.0000 0.2457
6 S 0.0010 0.5005 0.2455

[8]
Structure and theoretical X-ray diffraction stick pattern of Tb3Ho3ErS8 (a cell relaxed with PBE; Cu Ka).

Main lines, sorted by position (2θ from 15° to 90°):
2θ (°)	intensity
28.05	73
32.50	100
46.63	72
55.29	27
58.02	19
77.42	16
77.54	16
86.60	19

Cell and atoms:
a = 7.7854 Å, b = 7.7854 Å, c = 19.1150 Å
α = 90.00°, β = 90.00°, γ = 120.00°
Space group R-3m (No. 166, hexagonal axes)
Symmetry-distinct sites (fractional):
1 Tb 0.0000 0.5000 0.0000
2 Ho 0.0000 0.5000 0.5000
3 Er 0.0000 0.0000 0.5000
4 S 0.0000 0.0000 0.2487
5 S 0.9996 0.4998 0.2488

Please write out number 6 again, unchanged.
Structure and theoretical X-ray diffraction stick pattern of HoEr2ScS6 (a cell relaxed with PBE; Cu Ka).

Main lines, sorted by position (2θ from 15° to 90°):
2θ (°)	intensity
18.02	60
24.79	100
26.37	95
30.27	29
36.50	48
39.94	93
45.59	47
46.53	52

Cell and atoms:
a = 6.7607 Å, b = 6.7607 Å, c = 18.1938 Å
α = 90.00°, β = 90.00°, γ = 120.00°
Space group R3 (No. 146, hexagonal axes)
Symmetry-distinct sites (fractional):
1 Ho 0.0000 0.0000 0.0000
2 Er 0.0000 0.0000 0.2981
3 Er 0.0000 0.0000 0.8008
4 Sc 0.0000 0.0000 0.4964
5 S 0.0332 0.3488 0.5664
6 S 0.0384 0.6697 0.0687